Record 1
For Ni7Sn8, a cell relaxed with GGA-PBE gives the simulated X-ray powder pattern in this record (Cu Kα (weighted mean of Kα1 and Kα2)).
Neutral-atom scattering factors, no anomalous dispersion.

Crystal structure
```
data_Ni7Sn8
_symmetry_space_group_name_H-M 'P 1 2/m 1'
_symmetry_Int_Tables_number 10
_cell_length_a 5.258
_cell_length_b 4.088
_cell_length_c 12.462
_cell_angle_alpha 90.00
_cell_angle_beta 100.87
_cell_angle_gamma 90.00
loop_
_symmetry_equiv_pos_as_xyz
'x,y,z'
'-x,-y,-z'
'-x,y,-z'
'x,-y,z'
loop_
_atom_site_label
_atom_site_fract_x
_atom_site_fract_y
_atom_site_fract_z
_atom_site_occupancy
Ni1 0.000 0.000 0.000 1
Ni2 0.000 0.500 0.500 1
Ni3 0.128 0.000 0.791 1
Ni4 0.373 0.500 0.714 1
Ni5 0.500 0.500 0.500 1
Sn1 0.146 0.500 0.317 1
Sn2 0.242 0.500 0.930 1
Sn3 0.279 0.000 0.580 1
Sn4 0.358 0.000 0.168 1
```

Peak list (6 most intense, 10 to 80 degrees two-theta, in order of rising 2θ)
| two_theta | Rel. int. | index |
| --- | --- | --- |
| 29.92 | 83 | 1 1 -2 |
| 30.97 | 51 | 0 1 3 |
| 43.07 | 90 | 0 1 5 |
| 43.24 | 100 | 2 1 1 |
| 43.81 | 56 | 2 1 -3 |
| 44.31 | 68 | 0 2 0 |


Record 2
For Ho2MgSe4, a cell relaxed with GGA-PBE gives the simulated X-ray powder pattern in this record (Cu Kα (weighted mean of Kα1 and Kα2)).
Neutral-atom scattering factors, no anomalous dispersion.

Crystal structure
```
data_Ho2MgSe4
_symmetry_space_group_name_H-M 'I -4 2 d'
_symmetry_Int_Tables_number 122
_symmetry_space_group_name_Hall 'I -4 2bw'
_cell_length_a 8.567
_cell_length_b 8.567
_cell_length_c 8.891
_cell_angle_alpha 90.00
_cell_angle_beta 90.00
_cell_angle_gamma 90.00
loop_
_atom_site_label
_atom_site_fract_x
_atom_site_fract_y
_atom_site_fract_z
_atom_site_occupancy
Ho1 0.132 0.250 0.125 1
Mg1 0.000 0.000 0.500 1
Se1 0.067 0.195 0.812 1
```

Peak list (6 most intense, 10 to 80 degrees two-theta, in order of rising 2θ)
| two_theta | Rel. int. | index |
| --- | --- | --- |
| 24.84 | 34 | 1 1 2 |
| 31.95 | 56 | 1 0 3 |
| 32.94 | 55 | 3 0 1 |
| 33.06 | 100 | 3 1 0 |
| 38.40 | 82 | 2 1 3 |
| 39.25 | 43 | 3 2 1 |


Record 3
For Sr5B3ClO9, a cell relaxed with GGA-PBE gives the simulated X-ray powder pattern in this record (Cu Kα (weighted mean of Kα1 and Kα2)).
Neutral-atom scattering factors, no anomalous dispersion.

Crystal structure
```
data_Sr5B3ClO9
_symmetry_space_group_name_H-M 'C 2 2 21'
_symmetry_Int_Tables_number 20
_cell_length_a 10.093
_cell_length_b 14.413
_cell_length_c 7.488
_cell_angle_alpha 90.00
_cell_angle_beta 90.00
_cell_angle_gamma 90.00
loop_
_symmetry_equiv_pos_as_xyz
'x,y,z'
'-x,-y,z+1/2'
'x,-y,-z'
'-x,y,-z+1/2'
'x+1/2,y+1/2,z'
'-x+1/2,-y+1/2,z+1/2'
'x+1/2,-y+1/2,-z'
'-x+1/2,y+1/2,-z+1/2'
loop_
_atom_site_label
_atom_site_fract_x
_atom_site_fract_y
_atom_site_fract_z
_atom_site_occupancy
Sr1 0.000 0.135 0.250 1
Sr2 0.000 0.138 0.750 1
Sr3 0.133 0.371 0.936 1
Sr4 0.239 0.500 0.500 1
B1 0.130 0.000 0.500 1
B2 0.197 0.288 0.529 1
Cl1 0.000 0.447 0.250 1
O1 0.009 0.000 0.000 1
O2 0.118 0.353 0.614 1
O3 0.146 0.201 0.487 1
O4 0.170 0.191 0.990 1
O5 0.196 0.001 0.338 1
```

Peak list (6 most intense, 10 to 80 degrees two-theta, in order of rising 2θ)
| two_theta | Rel. int. | index |
| --- | --- | --- |
| 23.71 | 40 | 1 3 1 |
| 29.73 | 100 | 2 0 2 |
| 30.48 | 40 | 2 4 0 |
| 31.57 | 56 | 1 3 2 |
| 34.52 | 39 | 1 5 1 |
| 50.43 | 40 | 4 4 2 |


Record 4
For La4H9, a cell relaxed with GGA-PBE gives the simulated X-ray powder pattern in this record (Cu Kα (weighted mean of Kα1 and Kα2)).
Neutral-atom scattering factors, no anomalous dispersion.

Crystal structure
```
data_La4H9
_symmetry_space_group_name_H-M 'I 4/m m m'
_symmetry_Int_Tables_number 139
_symmetry_space_group_name_Hall '-I 4 2'
_cell_length_a 5.613
_cell_length_b 5.613
_cell_length_c 11.315
_cell_angle_alpha 90.00
_cell_angle_beta 90.00
_cell_angle_gamma 90.00
loop_
_atom_site_label
_atom_site_fract_x
_atom_site_fract_y
_atom_site_fract_z
_atom_site_occupancy
La1 0.000 0.000 0.245 1
La2 0.000 0.500 0.000 1
H1 0.000 0.000 0.000 1
H2 0.241 0.241 0.373 1
```

Peak list (6 most intense, 10 to 80 degrees two-theta, in order of rising 2θ)
| two_theta | Rel. int. | index |
| --- | --- | --- |
| 27.45 | 100 | 1 1 2 |
| 31.63 | 17 | 0 0 4 |
| 31.89 | 33 | 2 0 0 |
| 45.53 | 26 | 2 0 4 |
| 53.82 | 15 | 1 1 6 |
| 54.15 | 30 | 3 1 2 |


Record 5
For KNa3Al4Ge4O16, a cell relaxed with GGA-PBE gives the simulated X-ray powder pattern in this record (Cu Kα (weighted mean of Kα1 and Kα2)).
Neutral-atom scattering factors, no anomalous dispersion.

Crystal structure
```
data_KNa3Al4Ge4O16
_symmetry_space_group_name_H-M 'P 1 21 1'
_symmetry_Int_Tables_number 4
_cell_length_a 10.209
_cell_length_b 8.692
_cell_length_c 10.364
_cell_angle_alpha 90.00
_cell_angle_beta 119.05
_cell_angle_gamma 90.00
loop_
_symmetry_equiv_pos_as_xyz
'x,y,z'
'-x,y+1/2,-z'
loop_
_atom_site_label
_atom_site_fract_x
_atom_site_fract_y
_atom_site_fract_z
_atom_site_occupancy
K1 0.012 0.000 0.008 1
Na1 0.008 0.503 0.438 1
Na2 0.436 0.003 0.453 1
Na3 0.438 0.503 0.000 1
Al1 0.092 0.815 0.342 1
Al2 0.244 0.812 0.902 1
Al3 0.320 0.321 0.237 1
Al4 0.347 0.311 0.664 1
Ge1 0.091 0.189 0.341 1
Ge2 0.242 0.194 0.900 1
Ge3 0.321 0.685 0.239 1
Ge4 0.348 0.696 0.665 1
O1 0.019 0.003 0.334 1
O2 0.051 0.184 0.770 1
O3 0.051 0.820 0.771 1
O4 0.167 0.260 0.523 1
O5 0.167 0.744 0.524 1
O6 0.224 0.177 0.279 1
O7 0.225 0.829 0.280 1
O8 0.262 0.313 0.046 1
O9 0.266 0.503 0.270 1
O10 0.266 0.694 0.049 1
O11 0.304 0.004 0.960 1
O12 0.357 0.278 0.837 1
O13 0.359 0.727 0.839 1
O14 0.390 0.504 0.650 1
O15 0.484 0.807 0.650 1
O16 0.485 0.203 0.646 1
```

Peak list (6 most intense, 10 to 80 degrees two-theta, in order of rising 2θ)
| two_theta | Rel. int. | index |
| --- | --- | --- |
| 20.43 | 100 | 0 2 0 |
| 22.13 | 63 | 0 1 2 |
| 22.40 | 60 | 2 1 0 |
| 22.52 | 55 | 2 1 -2 |
| 28.72 | 95 | 2 2 0 |
| 37.03 | 81 | 2 3 -2 |